(1)
# Ga6NiOs
Theoretical XRD peak list, Cu Kα, 1.54184 Å. Input: a PBE-relaxed structure.
Intensities are scaled so that the largest is 100.

Structure:
Unit cell a=5.7058 b=7.4705 c=6.5480 alpha=90.00 beta=102.04 gamma=90.00
Space group C2/m (No. 12)
Inequivalent atoms, fractional coordinates:
Ga 0.1186 0.1862 0.3109 (multiplicity 8)
Ga 0.1646 0.5000 0.1587 (multiplicity 4)
Ni 0.0000 0.0000 0.0000 (multiplicity 2)
Os 0.0000 0.5000 0.5000 (multiplicity 2)

Largest 8 diffraction maxima, by angle, 10° ≤ 2θ ≤ 90°:
two_theta  Rel. int.
13.83  58
26.15  55
31.53  77
36.98  56
37.76  70
39.63  64
43.34  100
45.44  83

(2)
# GaNi2Os2
Theoretical XRD peak list, Cu Kα, 1.54184 Å. Input: a PBE-relaxed structure.
Intensities are scaled so that the largest is 100.

Structure:
Unit cell a=6.9684 b=6.9684 c=2.8513 alpha=90.00 beta=90.00 gamma=90.00
Space group P4/mbm (No. 127)
Inequivalent atoms, fractional coordinates:
Ga 0.0000 0.0000 0.0000 (multiplicity 2)
Ni 0.1651 0.3349 0.0000 (multiplicity 4)
Os 0.1304 0.6304 0.5000 (multiplicity 4)

Largest 8 diffraction maxima, by angle, 10° ≤ 2θ ≤ 90°:
two_theta  Rel. int.
18.00  30
28.65  32
36.41  30
40.96  48
43.00  100
57.62  18
62.47  17
81.73  18

(3)
# Ga2Ni8P
Theoretical XRD peak list, Cu Kα, 1.54184 Å. Input: a PBE-relaxed structure.
Intensities are scaled so that the largest is 100.

Structure:
Unit cell a=13.2891 b=4.0551 c=5.1639 alpha=90.00 beta=112.80 gamma=90.00
Space group C2/m (No. 12)
Inequivalent atoms, fractional coordinates:
Ga 0.1840 0.0000 0.1839 (multiplicity 4)
Ni 0.0002 0.0000 0.2526 (multiplicity 4)
Ni 0.1374 0.5000 0.8951 (multiplicity 4)
Ni 0.1379 0.5000 0.3809 (multiplicity 4)
Ni 0.1830 0.0000 0.6837 (multiplicity 4)
P 0.0000 0.5000 0.5000 (multiplicity 2)

Largest 8 diffraction maxima, by angle, 10° ≤ 2θ ≤ 90°:
two_theta  Rel. int.
37.81  28
43.14  61
44.37  37
44.70  69
47.28  100
47.32  98
84.27  33
88.53  24

(4)
# Zn3GaNi9P2
Theoretical XRD peak list, Cu Kα, 1.54184 Å. Input: a PBE-relaxed structure.
Intensities are scaled so that the largest is 100.

Structure:
Unit cell a=5.6822 b=5.6822 c=8.2670 alpha=90.00 beta=90.00 gamma=120.00
Space group P-3m1 (No. 164)
Inequivalent atoms, fractional coordinates:
Zn 0.0000 0.0000 0.0000 (multiplicity 1)
Zn 0.3333 0.6667 0.7558 (multiplicity 2)
Ga 0.0000 0.0000 0.5000 (multiplicity 1)
Ni 0.0000 0.5000 0.0000 (multiplicity 3)
Ni 0.1381 0.2761 0.2585 (multiplicity 6)
P 0.3333 0.6667 0.1739 (multiplicity 2)

Largest 8 diffraction maxima, by angle, 10° ≤ 2θ ≤ 90°:
two_theta  Rel. int.
10.70  63
18.03  20
38.16  69
42.77  100
43.80  31
49.67  37
65.73  23
82.37  18

(5)
# PaGa2Ni2
Theoretical XRD peak list, Cu Kα, 1.54184 Å. Input: a PBE-relaxed structure.
Intensities are scaled so that the largest is 100.

Structure:
Unit cell a=3.8412 b=3.8412 c=10.9773 alpha=90.00 beta=90.00 gamma=90.00
Space group I4/mmm (No. 139)
Inequivalent atoms, fractional coordinates:
Pa 0.0000 0.0000 0.0000 (multiplicity 2)
Ga 0.0000 0.5000 0.2500 (multiplicity 4)
Ni 0.0000 0.0000 0.3941 (multiplicity 4)

Largest 8 diffraction maxima, by angle, 10° ≤ 2θ ≤ 90°:
two_theta  Rel. int.
24.55  25
33.83  61
36.92  100
47.33  38
47.71  37
59.44  24
69.48  24
81.09  20

(6)
# PaGa3Ni4
Theoretical XRD peak list, Cu Kα, 1.54184 Å. Input: a PBE-relaxed structure.
Intensities are scaled so that the largest is 100.

Structure:
Unit cell a=4.0732 b=4.0732 c=24.2775 alpha=90.00 beta=90.00 gamma=120.00
Space group R-3m (No. 166, hexagonal axes)
Inequivalent atoms, fractional coordinates:
Pa 0.0000 0.0000 0.0000 (multiplicity 3)
Ga 0.0000 0.0000 0.2426 (multiplicity 6)
Ga 0.0000 0.0000 0.5000 (multiplicity 3)
Ni 0.0000 0.0000 0.1324 (multiplicity 6)
Ni 0.0000 0.0000 0.3992 (multiplicity 6)

Largest 8 diffraction maxima, by angle, 10° ≤ 2θ ≤ 90°:
two_theta  Rel. int.
26.31  25
29.28  25
31.34  31
36.33  22
39.16  100
44.49  95
60.74  27
78.33  25